For PaTiV2O8, a crystal structure in Alexandria, relaxed with GGA+U gives the calculated powder diffraction line list in this record (Cu Kα).
Lines closer than 0.1° are merged.

Structural model:
```
data_PaTiV2O8
_chemical_formula_sum 'Pa2 Ti2 V4 O16'
_symmetry_space_group_name_H-M 'C m m m'
_symmetry_Int_Tables_number 65
_symmetry_space_group_name_Hall '-C 2 2'
_cell_length_a 6.655
_cell_length_b 6.750
_cell_length_c 6.342
_cell_angle_alpha 90.00
_cell_angle_beta 90.00
_cell_angle_gamma 90.00
loop_
_atom_site_label
_atom_site_type_symbol
_atom_site_fract_x
_atom_site_fract_y
_atom_site_fract_z
_atom_site_occupancy
Pa1 Pa 0.000 0.000 0.000 1
Ti1 Ti 0.000 0.000 0.500 1
V1 V 0.000 0.500 0.274 1
O1 O 0.000 0.299 0.500 1
O2 O 0.000 0.318 0.000 1
O3 O 0.200 0.000 0.275 1
```

Peak list (10 most intense, 10 to 80 degrees two-theta, by angle)
(0 0 1), 13.96 deg, intensity 41; (1 1 0), 18.72 deg, intensity 56; (1 1 1), 23.43 deg, intensity 81; (0 2 0), 26.41 deg, intensity 71; (2 0 0), 26.79 deg, intensity 67; (1 1 2), 34.02 deg, intensity 100; (2 0 2), 39.24 deg, intensity 27; (1 3 2), 51.67 deg, intensity 46; (3 1 2), 52.11 deg, intensity 43; (3 3 2), 66.08 deg, intensity 27